This entry pairs a crystal structure of Li2MnCr3O8 with its theoretical powder diffraction line list. Radiation: a wavelength of 1.5418 Å. Structure: a cell relaxed with PBE+U.

Lattice parameters (Å, degrees): 5.8865 5.8865 9.3814 90.00 90.00 120.00
Fractional coordinates of all 28 atoms:
1 Li 0.0000 0.0000 0.0000
2 Li 0.0000 0.0000 0.5000
3 Li 0.3333 0.6667 0.4020
4 Li 0.6667 0.3333 0.9020
5 Mn 0.3333 0.6667 0.9866
6 Mn 0.6667 0.3333 0.4866
7 Cr 0.1697 0.3395 0.7147
8 Cr 0.1697 0.8303 0.7147
9 Cr 0.3395 0.1697 0.2147
10 Cr 0.6605 0.8303 0.7147
11 Cr 0.8303 0.1697 0.2147
12 Cr 0.8303 0.6605 0.2147
13 O 0.0000 0.0000 0.3123
14 O 0.0000 0.0000 0.8123
15 O 0.0428 0.5214 0.8480
16 O 0.1670 0.3341 0.1040
17 O 0.1670 0.8330 0.1040
18 O 0.3333 0.6667 0.6066
19 O 0.3341 0.1670 0.6040
20 O 0.4786 0.5214 0.8480
21 O 0.4786 0.9572 0.8480
22 O 0.5214 0.0428 0.3480
23 O 0.5214 0.4786 0.3480
24 O 0.6659 0.8330 0.1040
25 O 0.6667 0.3333 0.1066
26 O 0.8330 0.1670 0.6040
27 O 0.8330 0.6659 0.6040
28 O 0.9572 0.4786 0.3480

Peak list (12 most intense, 10 to 90 degrees two-theta, low angle first)
h k l, two_theta, d_spacing, I (rel.)
0 0 2, 18.9, 4.691, 50
1 0 1, 19.8, 4.479, 100
1 0 2, 25.8, 3.452, 32
1 0 3, 33.6, 2.666, 30
1 1 2, 36.0, 2.493, 51
2 0 1, 36.5, 2.460, 45
2 0 2, 40.3, 2.240, 40
2 0 3, 45.9, 1.976, 57
2 0 4, 53.1, 1.726, 20
2 1 3, 56.1, 1.640, 19
2 0 5, 61.4, 1.511, 40
2 2 0, 63.2, 1.472, 38